Simulated X-ray diffraction stick pattern of YGa5Rh6 for Cu Kα, 1.54184 Å, from a structure optimized by DFT (GGA-PBE).
Lines closer than 0.1° are merged.

Crystal structure
a b c (Å): 4.3209 6.3964 6.8360
angles (deg): 90.00 108.34 90.00
Space group P2/m (No. 10)
Symmetry-distinct sites (fractional):
Y 0.0000 0.0000 0.0000 [1 per cell]
Ga 0.0000 0.5000 0.0000 [1 per cell]
Ga 0.3324 0.0000 0.6648 [2 per cell]
Ga 0.3343 0.5000 0.6692 [2 per cell]
Rh 0.1735 0.2598 0.3467 [4 per cell]
Rh 0.5000 0.2737 0.0000 [2 per cell]

Main lines, by angle (5 to 70 degrees two-theta):
2θ = 27.9°, intensity 1.7, (0 2 0); 2θ = 29.2°, intensity 3.3, (1 0 1); 2θ = 32.5°, intensity 0.9, (1 1 1); 2θ = 40.8°, intensity 100.0, (1 2 1); 2θ = 41.8°, intensity 47.6, (2 0 -1); 2θ = 51.0°, intensity 1.1, (2 2 -1); 2θ = 52.3°, intensity 1.0, (1 3 1); 2θ = 57.6°, intensity 8.3, (0 4 0); 2θ = 60.6°, intensity 15.3, (2 0 2); 2θ = 61.0°, intensity 0.9, (2 3 -1)